Computed powder X-ray diffraction pattern of K2RbTcF6 for Cu Kα, from a cell relaxed with GGA-PBE.
Neutral-atom scattering factors, no anomalous dispersion.

Largest 10 diffraction maxima, sorted by position, 2θ from 15° to 90°:
| Position (°2θ) | intensity |
| --- | --- |
| 19.54 | 33.3 |
| 21.09 | 37.0 |
| 28.90 | 100.0 |
| 29.99 | 87.7 |
| 39.68 | 34.4 |
| 42.93 | 34.3 |
| 50.53 | 35.6 |
| 52.59 | 60.6 |
| 59.88 | 22.8 |
| 84.26 | 19.6 |

Structure:
```
K2RbTcF6
1.0
-2.9791 2.9791 4.5429
2.9791 -2.9791 4.5429
2.9791 2.9791 -4.5429
K Rb Tc F
2 1 1 6
Cartesian
2.9791 0.0000 2.2715
0.0000 2.9791 2.2715
0.0000 0.0000 0.0000
0.0000 0.0000 4.5429
3.6634 1.1026 0.0000
0.0000 0.0000 2.5000
1.1026 2.2948 0.0000
1.8765 0.6843 4.5429
0.0000 0.0000 6.5858
-0.6843 1.8765 4.5429
```